[1]
For Lu5Co4Ge10, a GGA-PBE-relaxed structure gives the theoretical X-ray diffraction stick pattern in this record (Cu Kα, 1.54184 Å).
No peak broadening, texture or thermal motion is included.

Structure:
```
data_Lu5Co4Ge10
_chemical_formula_sum 'Lu10 Co8 Ge20'
_space_group_name_H-M_alt 'P 4/m b m'
_space_group_IT_number 127
_space_group_name_Hall '-P 4 2ab'
_cell_length_a 12.628
_cell_length_b 12.628
_cell_length_c 4.136
_cell_angle_alpha 90.00
_cell_angle_beta 90.00
_cell_angle_gamma 90.00
loop_
_atom_site_label
_atom_site_fract_x
_atom_site_fract_y
_atom_site_fract_z
Lu1 0.000 0.000 0.000
Lu2 0.111 0.389 0.500
Lu3 0.176 0.676 0.500
Co1 0.024 0.754 0.000
Ge1 0.005 0.836 0.500
Ge2 0.069 0.569 0.000
Ge3 0.157 0.198 0.000
```

Peak list (10 most intense, 2θ = 10–80°, by angle)
| h k l | d/Å | I_rel |
| --- | --- | --- |
| 3 2 1 | 2.673 | 57.8 |
| 4 0 1 | 2.509 | 40.1 |
| 5 1 0 | 2.477 | 35.5 |
| 4 1 1 | 2.461 | 36.6 |
| 3 3 1 | 2.416 | 100.0 |
| 4 2 1 | 2.332 | 22.0 |
| 6 1 0 | 2.076 | 19.5 |
| 0 0 2 | 2.068 | 44.3 |
| 7 2 1 | 1.600 | 19.8 |
| 6 1 2 | 1.465 | 20.0 |

[2]
For Lu4Co7Ge6, a GGA-PBE-relaxed structure gives the theoretical X-ray diffraction stick pattern in this record (Cu Kα, 1.54184 Å).
No peak broadening, texture or thermal motion is included.

Structure:
```
data_Lu4Co7Ge6
_chemical_formula_sum 'Lu8 Co14 Ge12'
_space_group_name_H-M_alt 'I m -3 m'
_space_group_IT_number 229
_space_group_name_Hall '-I 4 2 3'
_cell_length_a 8.025
_cell_length_b 8.025
_cell_length_c 8.025
_cell_angle_alpha 90.00
_cell_angle_beta 90.00
_cell_angle_gamma 90.00
loop_
_atom_site_label
_atom_site_fract_x
_atom_site_fract_y
_atom_site_fract_z
Lu1 0.250 0.250 0.250
Co1 0.000 0.000 0.000
Co2 0.000 0.250 0.500
Ge1 0.000 0.000 0.323
```

Peak list (10 most intense, 2θ = 10–80°, by angle)
| h k l | d/Å | I_rel |
| --- | --- | --- |
| 2 0 0 | 4.013 | 16.2 |
| 2 2 0 | 2.837 | 57.8 |
| 2 2 2 | 2.317 | 100.0 |
| 4 0 0 | 2.006 | 57.4 |
| 3 3 0 | 1.892 | 12.9 |
| 4 2 0 | 1.795 | 20.9 |
| 4 4 0 | 1.419 | 26.9 |
| 4 4 2 | 1.338 | 15.6 |
| 6 2 0 | 1.269 | 18.9 |
| 6 2 2 | 1.210 | 24.4 |

[3]
For TbLuCoGe2, a GGA-PBE-relaxed structure gives the theoretical X-ray diffraction stick pattern in this record (Cu Kα, 1.54184 Å).
No peak broadening, texture or thermal motion is included.

Structure:
```
data_TbLuCoGe2
_chemical_formula_sum 'Tb4 Lu4 Co4 Ge8'
_space_group_name_H-M_alt 'C 1 2/m 1'
_space_group_IT_number 12
_cell_length_a 10.345
_cell_length_b 4.173
_cell_length_c 10.111
_cell_angle_alpha 90.00
_cell_angle_beta 117.33
_cell_angle_gamma 90.00
loop_
_space_group_symop_operation_xyz
'x,y,z'
'-x,-y,-z'
'-x,y,-z'
'x,-y,z'
'x+1/2,y+1/2,z'
'-x+1/2,-y+1/2,-z'
'-x+1/2,y+1/2,-z'
'x+1/2,-y+1/2,z'
loop_
_atom_site_label
_atom_site_fract_x
_atom_site_fract_y
_atom_site_fract_z
Tb1 0.190 0.000 0.116
Lu1 0.007 0.000 0.335
Co1 0.227 0.500 0.347
Ge1 0.014 0.500 0.875
Ge2 0.155 0.500 0.559
```

Peak list (10 most intense, 2θ = 10–80°, by angle)
| h k l | d/Å | I_rel |
| --- | --- | --- |
| 2 0 -3 | 3.287 | 33.6 |
| 1 1 2 | 2.661 | 57.9 |
| 3 1 -1 | 2.644 | 50.4 |
| 1 1 -3 | 2.605 | 100.0 |
| 4 0 -2 | 2.582 | 35.7 |
| 3 1 -3 | 2.388 | 37.9 |
| 0 0 4 | 2.246 | 25.3 |
| 3 1 1 | 2.183 | 64.3 |
| 0 2 0 | 2.087 | 51.3 |
| 7 1 -3 | 1.393 | 23.2 |

[4]
For MgCoGeMo, a GGA-PBE-relaxed structure gives the theoretical X-ray diffraction stick pattern in this record (Cu Kα, 1.54184 Å).
No peak broadening, texture or thermal motion is included.

Structure:
```
data_MgCoGeMo
_chemical_formula_sum 'Mg4 Co4 Ge4 Mo4'
_space_group_name_H-M_alt 'F -4 3 m'
_space_group_IT_number 216
_space_group_name_Hall 'F -4 2 3'
_cell_length_a 6.165
_cell_length_b 6.165
_cell_length_c 6.165
_cell_angle_alpha 90.00
_cell_angle_beta 90.00
_cell_angle_gamma 90.00
loop_
_atom_site_label
_atom_site_fract_x
_atom_site_fract_y
_atom_site_fract_z
Mg1 0.000 0.000 0.000
Co1 0.000 0.000 0.500
Ge1 0.250 0.250 0.250
Mo1 0.250 0.250 0.750
```

Peak list (9 most intense, 2θ = 10–80°, by angle)
| h k l | d/Å | I_rel |
| --- | --- | --- |
| 1 1 1 | 3.559 | 7.2 |
| 2 0 0 | 3.082 | 14.2 |
| 2 2 0 | 2.180 | 100.0 |
| 3 1 1 | 1.859 | 3.1 |
| 2 2 2 | 1.780 | 3.9 |
| 4 0 0 | 1.541 | 16.0 |
| 3 3 1 | 1.414 | 1.2 |
| 4 2 0 | 1.379 | 5.1 |
| 4 2 2 | 1.258 | 31.8 |